(1)
Computed powder diffractogram
Compound: SmZn10Rh2
Radiation: Cu Kα X-rays
Structure: a structure optimized by DFT (GGA-PBE)
No peak broadening, texture or thermal motion is included.

Top 12 peaks for 2θ from 10° to 80°, sorted by position:
| two_theta | Rel. int. |
| --- | --- |
| 14.3 | 14.2 |
| 28.0 | 20.2 |
| 32.8 | 14.4 |
| 34.8 | 47.8 |
| 38.8 | 100.0 |
| 40.6 | 96.5 |
| 41.2 | 67.6 |
| 44.2 | 57.6 |
| 57.9 | 16.6 |
| 59.8 | 14.6 |
| 63.8 | 24.2 |
| 73.5 | 27.2 |

a = 8.768 Å, b = 6.785 Å, c = 6.768 Å
α = 80.63°, β = 49.77°, γ = 49.60°
Atoms (fractional coordinates):
Sm: 0.000 0.000 0.000
Zn: 0.000 0.000 0.500
Zn: 0.010 0.349 0.651
Zn: 0.281 0.499 0.501
Zn: 0.349 0.010 0.990
Zn: 0.499 0.281 0.719
Zn: 0.500 0.500 0.000
Zn: 0.501 0.719 0.281
Zn: 0.651 0.990 0.010
Zn: 0.719 0.501 0.499
Zn: 0.990 0.651 0.349
Rh: 0.000 0.500 0.000
Rh: 0.500 0.000 0.500

(2)
Computed powder diffractogram
Compound: V2HgBi2
Radiation: Cu Kα X-rays
Structure: a structure optimized by DFT (GGA-PBE)
No peak broadening, texture or thermal motion is included.

Top 12 peaks for 2θ from 10° to 80°, sorted by position:
| two_theta | Rel. int. |
| --- | --- |
| 26.8 | 40.1 |
| 28.6 | 39.1 |
| 33.4 | 64.6 |
| 34.1 | 16.6 |
| 35.5 | 100.0 |
| 38.2 | 59.5 |
| 46.8 | 20.2 |
| 54.7 | 23.6 |
| 56.2 | 16.6 |
| 57.7 | 28.3 |
| 62.0 | 29.3 |
| 72.6 | 16.3 |

a = 7.443 Å, b = 7.443 Å, c = 3.882 Å
α = 90.00°, β = 90.00°, γ = 90.00°
Atoms (fractional coordinates):
V: 0.124 0.376 0.000
V: 0.376 0.876 0.000
V: 0.624 0.124 0.000
V: 0.876 0.624 0.000
Hg: 0.000 0.000 0.000
Hg: 0.500 0.500 0.000
Bi: 0.165 0.665 0.500
Bi: 0.335 0.165 0.500
Bi: 0.665 0.835 0.500
Bi: 0.835 0.335 0.500

(3)
Computed powder diffractogram
Compound: TlSiAg2
Radiation: Cu Kα X-rays
Structure: a structure optimized by DFT (GGA-PBE)
No peak broadening, texture or thermal motion is included.

Top 12 peaks for 2θ from 10° to 80°, sorted by position:
| two_theta | Rel. int. |
| --- | --- |
| 11.1 | 37.0 |
| 28.7 | 58.9 |
| 31.4 | 46.9 |
| 33.6 | 42.9 |
| 34.8 | 100.0 |
| 37.1 | 83.9 |
| 39.9 | 85.2 |
| 53.1 | 46.2 |
| 54.4 | 16.9 |
| 62.0 | 19.6 |
| 67.7 | 28.1 |
| 72.0 | 23.5 |

a = 3.046 Å, b = 3.371 Å, c = 7.999 Å
α = 90.00°, β = 90.00°, γ = 90.00°
Atoms (fractional coordinates):
Tl: 0.000 0.000 0.000
Si: 0.000 0.000 0.500
Ag: 0.500 0.500 0.302
Ag: 0.500 0.500 0.698

(4)
Computed powder diffractogram
Compound: NdIn9Rh2
Radiation: Cu Kα X-rays
Structure: a structure optimized by DFT (GGA-PBE)
No peak broadening, texture or thermal motion is included.

Top 12 peaks for 2θ from 10° to 80°, sorted by position:
| two_theta | Rel. int. |
| --- | --- |
| 28.8 | 23.0 |
| 32.5 | 46.8 |
| 33.6 | 100.0 |
| 37.6 | 22.3 |
| 38.5 | 72.9 |
| 40.4 | 15.3 |
| 41.0 | 22.7 |
| 41.4 | 10.3 |
| 58.6 | 20.3 |
| 67.7 | 10.8 |
| 68.0 | 19.7 |
| 77.3 | 10.0 |

a = 9.460 Å, b = 9.460 Å, c = 9.460 Å
α = 98.60°, β = 98.60°, γ = 134.51°
Atoms (fractional coordinates):
Nd: 0.375 0.625 0.750
Nd: 0.625 0.375 0.250
In: 0.108 0.553 0.315
In: 0.108 0.793 0.555
In: 0.125 0.875 0.250
In: 0.207 0.262 0.315
In: 0.207 0.892 0.945
In: 0.262 0.207 0.815
In: 0.262 0.447 0.055
In: 0.447 0.262 0.555
In: 0.447 0.892 0.185
In: 0.553 0.108 0.815
In: 0.553 0.738 0.445
In: 0.738 0.553 0.945
In: 0.738 0.793 0.185
In: 0.793 0.108 0.055
In: 0.793 0.738 0.685
In: 0.875 0.125 0.750
In: 0.892 0.207 0.445
In: 0.892 0.447 0.685
Rh: 0.000 0.000 0.000
Rh: 0.000 0.000 0.500
Rh: 0.000 0.500 0.000
Rh: 0.500 0.000 0.500

(5)
Computed powder diffractogram
Compound: Pm2Ho5Th4
Radiation: Cu Kα X-rays
Structure: a structure optimized by DFT (GGA-PBE)
No peak broadening, texture or thermal motion is included.

Top 12 peaks for 2θ from 10° to 80°, sorted by position:
| two_theta | Rel. int. |
| --- | --- |
| 28.3 | 41.3 |
| 30.9 | 96.9 |
| 31.2 | 57.0 |
| 32.5 | 100.0 |
| 33.2 | 47.8 |
| 34.2 | 81.7 |
| 51.3 | 39.1 |
| 51.4 | 19.1 |
| 61.0 | 24.8 |
| 61.1 | 25.2 |
| 61.2 | 19.8 |
| 61.3 | 20.0 |

a = 3.565 Å, b = 8.901 Å, c = 11.818 Å
α = 95.94°, β = 98.57°, γ = 101.52°
Atoms (fractional coordinates):
Pm: 0.152 0.327 0.475
Pm: 0.848 0.673 0.525
Ho: 0.120 0.061 0.672
Ho: 0.469 0.238 0.201
Ho: 0.500 0.500 0.000
Ho: 0.531 0.762 0.799
Ho: 0.880 0.939 0.328
Th: 0.175 0.590 0.262
Th: 0.207 0.856 0.061
Th: 0.793 0.144 0.939
Th: 0.825 0.410 0.738

(6)
Computed powder diffractogram
Compound: Tb2Ni2Pd
Radiation: Cu Kα X-rays
Structure: a structure optimized by DFT (GGA-PBE)
No peak broadening, texture or thermal motion is included.

Top 12 peaks for 2θ from 10° to 80°, sorted by position:
| two_theta | Rel. int. |
| --- | --- |
| 26.6 | 15.0 |
| 30.6 | 19.0 |
| 35.2 | 100.0 |
| 37.6 | 14.2 |
| 38.4 | 17.1 |
| 39.6 | 29.9 |
| 44.3 | 21.2 |
| 46.2 | 12.3 |
| 57.4 | 11.3 |
| 60.0 | 9.1 |
| 72.0 | 18.0 |
| 75.6 | 10.6 |

a = 5.308 Å, b = 5.308 Å, c = 5.308 Å
α = 134.65°, β = 113.25°, γ = 84.41°
Atoms (fractional coordinates):
Tb: 0.217 0.217 0.000
Tb: 0.783 0.783 0.000
Ni: 0.202 0.500 0.702
Ni: 0.798 0.500 0.298
Pd: 0.500 0.000 0.500

(7)
Computed powder diffractogram
Compound: CsTl2Hg2Au
Radiation: Cu Kα X-rays
Structure: a structure optimized by DFT (GGA-PBE)
No peak broadening, texture or thermal motion is included.

Top 12 peaks for 2θ from 10° to 80°, sorted by position:
| two_theta | Rel. int. |
| --- | --- |
| 12.7 | 52.6 |
| 22.2 | 20.4 |
| 25.7 | 42.1 |
| 30.0 | 90.1 |
| 31.6 | 100.0 |
| 34.1 | 26.3 |
| 34.2 | 20.7 |
| 44.2 | 63.6 |
| 45.4 | 37.5 |
| 50.8 | 18.6 |
| 62.5 | 25.2 |
| 65.2 | 20.3 |

a = 5.654 Å, b = 5.654 Å, c = 6.994 Å
α = 90.00°, β = 90.00°, γ = 90.00°
Atoms (fractional coordinates):
Cs: 0.000 0.000 0.000
Tl: 0.000 0.500 0.500
Tl: 0.500 0.000 0.500
Hg: 0.500 0.500 0.224
Hg: 0.500 0.500 0.776
Au: 0.000 0.000 0.500

(8)
Computed powder diffractogram
Compound: Hf5ScGe4
Radiation: Cu Kα X-rays
Structure: a structure optimized by DFT (GGA-PBE)
No peak broadening, texture or thermal motion is included.

Top 12 peaks for 2θ from 10° to 80°, sorted by position:
| two_theta | Rel. int. |
| --- | --- |
| 19.9 | 15.4 |
| 27.1 | 27.2 |
| 27.6 | 57.2 |
| 35.7 | 47.2 |
| 36.0 | 100.0 |
| 42.1 | 65.5 |
| 43.0 | 33.6 |
| 56.0 | 12.6 |
| 57.1 | 24.3 |
| 59.9 | 22.4 |
| 74.2 | 15.8 |
| 76.3 | 12.5 |

a = 8.047 Å, b = 8.047 Å, c = 6.760 Å
α = 103.06°, β = 103.06°, γ = 30.29°
Atoms (fractional coordinates):
Hf: 0.000 0.000 0.000
Hf: 0.324 0.324 0.519
Hf: 0.343 0.343 0.025
Hf: 0.657 0.657 0.975
Hf: 0.676 0.676 0.481
Sc: 0.000 0.000 0.500
Ge: 0.183 0.183 0.734
Ge: 0.482 0.482 0.750
Ge: 0.518 0.518 0.250
Ge: 0.817 0.817 0.266